Structure and calculated powder diffraction line list of NiMo2Pt2 (a PBE-relaxed structure; copper Kα).

Atomic structure:
Cell lengths 4.8014, 4.8014, 6.1608 Å; angles 129.75, 129.75, 46.37 degrees
Fractional coordinates of all 5 atoms:
Ni  0.0000  0.0000  0.0000
Mo  0.2116  0.2116  0.8128
Mo  0.7884  0.7884  0.1872
Pt  0.4098  0.4098  0.6201
Pt  0.5902  0.5902  0.3799

Largest 8 diffraction maxima, most intense first, 10 to 90 degrees two-theta:
- d = 2.262 Å, I 100
- d = 2.233 Å, I 95
- d = 1.998 Å, I 39
- d = 1.956 Å, I 30
- d = 1.890 Å, I 28
- d = 3.247 Å, I 28
- d = 1.373 Å, I 23
- d = 1.359 Å, I 18